1.
The following is a theoretical powder diffraction line list of HoNpPb2O8. It was derived from a structure optimized by DFT (GGA-PBE), using a wavelength of 1.5418 Å.

Cell and atoms:
Cell: 7.2903 7.3565 6.9170 Å, 90.00 90.00 90.00°
Space group Cmmm (No. 65)
Asymmetric unit:
Ho 0.0000 0.0000 0.0000 (multiplicity 2)
Np 0.0000 0.0000 0.5000 (multiplicity 2)
Pb 0.0000 0.5000 0.2482 (multiplicity 4)
O 0.0000 0.1793 0.2728 (multiplicity 8)
O 0.1932 0.5000 0.0000 (multiplicity 4)
O 0.2062 0.5000 0.5000 (multiplicity 4)

Largest 12 diffraction maxima, in order of rising 2θ, 2θ = 5–70°:
| two_theta | I/Imax | h k l |
| --- | --- | --- |
| 24.20 | 57 | 0 2 0 |
| 24.42 | 54 | 2 0 0 |
| 31.10 | 100 | 1 1 2 |
| 34.65 | 33 | 2 2 0 |
| 47.11 | 40 | 1 3 2 |
| 47.36 | 39 | 3 1 2 |
| 56.00 | 10 | 2 4 0 |
| 56.34 | 11 | 4 2 0 |
| 59.03 | 10 | 0 2 4 |
| 59.13 | 10 | 2 0 4 |
| 59.89 | 23 | 3 3 2 |
| 64.84 | 12 | 2 2 4 |

=====

2.
The following is a theoretical powder diffraction line list of RbHoNpO6. It was derived from a structure optimized by DFT (GGA-PBE), using a wavelength of 1.5418 Å.

Cell and atoms:
Cell: 5.8624 5.8624 6.0444 Å, 90.00 90.00 120.00°
Space group P312 (No. 149)
Asymmetric unit:
Rb 0.0000 0.0000 0.0000 (multiplicity 1)
Ho 0.3333 0.6667 0.5000 (multiplicity 1)
Np 0.6667 0.3333 0.5000 (multiplicity 1)
O 0.3996 0.0321 0.6816 (multiplicity 6)

Largest 12 diffraction maxima, in order of rising 2θ, 2θ = 5–70°:
| two_theta | I/Imax | h k l |
| --- | --- | --- |
| 14.66 | 64 | 0 0 1 |
| 17.47 | 22 | 1 0 0 |
| 22.88 | 100 | 1 0 1 |
| 29.56 | 17 | 0 0 2 |
| 30.50 | 52 | 1 1 0 |
| 33.99 | 36 | 2 -1 1 |
| 38.46 | 22 | 2 0 1 |
| 42.99 | 56 | 2 -1 2 |
| 49.86 | 24 | 3 -1 1 |
| 54.20 | 16 | 3 0 0 |
| 55.33 | 12 | 1 1 3 |
| 62.95 | 14 | 3 0 2 |

=====

3.
The following is a theoretical powder diffraction line list of Ho2TmNpO8. It was derived from a structure optimized by DFT (GGA-PBE), using a wavelength of 1.5418 Å.

Cell and atoms:
Cell: 7.0772 7.2225 6.9345 Å, 90.00 90.00 90.00°
Space group Cmmm (No. 65)
Asymmetric unit:
Ho 0.0000 0.0000 0.2394 (multiplicity 4)
Tm 0.0000 0.5000 0.0000 (multiplicity 2)
Np 0.0000 0.5000 0.5000 (multiplicity 2)
O 0.0000 0.3173 0.2736 (multiplicity 8)
O 0.1941 0.0000 0.0000 (multiplicity 4)
O 0.2163 0.0000 0.5000 (multiplicity 4)

Largest 12 diffraction maxima, in order of rising 2θ, 2θ = 5–70°:
| two_theta | I/Imax | h k l |
| --- | --- | --- |
| 24.65 | 56 | 0 2 0 |
| 25.17 | 51 | 2 0 0 |
| 31.28 | 100 | 1 1 2 |
| 35.52 | 31 | 2 2 0 |
| 47.75 | 40 | 1 3 2 |
| 48.34 | 37 | 3 1 2 |
| 57.28 | 9 | 2 4 0 |
| 58.05 | 10 | 4 2 0 |
| 59.11 | 10 | 0 2 4 |
| 59.36 | 9 | 2 0 4 |
| 61.15 | 22 | 3 3 2 |
| 65.26 | 11 | 2 2 4 |

=====

4.
The following is a theoretical powder diffraction line list of HoNpOs2. It was derived from a structure optimized by DFT (GGA-PBE), using a wavelength of 1.5418 Å.

Cell and atoms:
Cell: 6.7707 6.7707 6.7707 Å, 90.00 90.00 90.00°
Space group Fm-3m (No. 225)
Asymmetric unit:
Ho 0.0000 0.0000 0.0000 (multiplicity 4)
Np 0.0000 0.0000 0.5000 (multiplicity 4)
Os 0.2500 0.2500 0.2500 (multiplicity 8)

Largest 5 diffraction maxima, in order of rising 2θ, 2θ = 5–70°:
| two_theta | I/Imax | h k l |
| --- | --- | --- |
| 22.75 | 2 | 1 1 1 |
| 37.57 | 100 | 2 2 0 |
| 44.37 | 1 | 3 1 1 |
| 54.19 | 18 | 4 0 0 |
| 67.81 | 36 | 4 2 2 |